(1)
The following is a theoretical powder X-ray diffraction pattern of Ac2LaPrSb4. It was derived from a DFT-relaxed cell (PBE, Alexandria), using copper Kα.
Peak positions follow from Bragg's law for the DFT cell and can differ from measured ones.

Structure:
```
Ac2LaPrSb4
1.0
8.1339 0.0000 0.0000
0.0000 4.6993 0.0000
-2.7089 0.0000 7.6746
Ac La Pr Sb
2 1 1 4
Direct
0.0000 0.0000 0.0000 Ac
0.5000 0.5000 0.0000 Ac
0.0000 0.5000 0.5000 La
0.5000 0.0000 0.5000 Pr
0.2475 0.0000 0.7390 Sb
0.2549 0.5000 0.2617 Sb
0.7451 0.5000 0.7383 Sb
0.7525 0.0000 0.2610 Sb
```

Largest 10 diffraction maxima, most intense first, 10° ≤ 2θ ≤ 90°:
two_theta	I_rel
26.8	100
38.3	78
62.5	37
47.4	28
69.3	27
88.2	18
55.3	13
82.0	9
23.2	7
45.3	4

(2)
The following is a theoretical powder X-ray diffraction pattern of Sm6Sb5Te. It was derived from a DFT-relaxed cell (PBE, Alexandria), using copper Kα.
Peak positions follow from Bragg's law for the DFT cell and can differ from measured ones.

Structure:
```
Sm6Sb5Te
1.0
3.8705 -6.6985 0.0000
3.8705 6.6985 0.0000
-2.5774 0.0000 7.2970
Sm Sb Te
6 5 1
Direct
0.0776 0.4155 0.7470 Sm
0.2461 0.2461 0.2522 Sm
0.4155 0.0776 0.7470 Sm
0.5845 0.9224 0.2530 Sm
0.7539 0.7539 0.7478 Sm
0.9224 0.5845 0.2530 Sm
0.0000 0.0000 0.5000 Sb
0.1671 0.8329 0.0000 Sb
0.3350 0.6650 0.5000 Sb
0.6650 0.3350 0.5000 Sb
0.8329 0.1671 0.0000 Sb
0.5000 0.5000 0.0000 Te
```

Largest 9 diffraction maxima, most intense first, 10° ≤ 2θ ≤ 90°:
two_theta	I_rel
28.2	100
40.4	76
66.1	35
50.0	27
73.4	26
58.4	13
87.3	8
24.4	2
47.7	1

(3)
The following is a theoretical powder X-ray diffraction pattern of Ac4Tb4Pm3. It was derived from a DFT-relaxed cell (PBE, Alexandria), using copper Kα.
Peak positions follow from Bragg's law for the DFT cell and can differ from measured ones.

Structure:
```
Ac4Tb4Pm3
1.0
3.7793 0.0000 0.0000
-0.0043 5.2066 0.0000
-1.8764 -2.6018 20.6653
Ac Tb Pm
4 4 3
Direct
0.0473 0.0465 0.0937 Ac
0.3172 0.3172 0.6339 Ac
0.6828 0.6828 0.3661 Ac
0.9527 0.9535 0.9063 Ac
0.2287 0.2287 0.4577 Tb
0.4063 0.4071 0.8134 Tb
0.5937 0.5929 0.1866 Tb
0.7713 0.7713 0.5423 Tb
0.1363 0.1358 0.2723 Pm
0.5000 0.5000 0.0000 Pm
0.8637 0.8642 0.7277 Pm
```

Largest 10 diffraction maxima, most intense first, 10° ≤ 2θ ≤ 90°:
two_theta	I_rel
29.2	100
29.3	98
33.6	69
48.9	49
34.5	32
57.6	29
58.6	29
57.4	23
60.5	13
48.2	13